The following is a simulated X-ray powder pattern of Na3Ni2P2C2O14. It was derived from DFT lattice parameters and positions (PBE+U), using copper Kα.

```
data_Na3Ni2P2C2O14
_symmetry_space_group_name_H-M 'P 1'
_symmetry_Int_Tables_number 1
_cell_length_a 8.329
_cell_length_b 8.336
_cell_length_c 10.322
_cell_angle_alpha 107.32
_cell_angle_beta 107.18
_cell_angle_gamma 103.15
loop_
_symmetry_equiv_pos_as_xyz
'x,y,z'
loop_
_atom_site_label
_atom_site_fract_x
_atom_site_fract_y
_atom_site_fract_z
_atom_site_occupancy
Na1 0.000 0.000 0.000 1
Na2 0.019 0.014 0.528 1
Na3 0.250 0.752 0.506 1
Na4 0.277 0.717 0.012 1
Na5 0.539 0.478 0.503 1
Na6 0.750 0.246 0.007 1
Ni1 0.062 0.310 0.415 1
Ni2 0.450 0.198 0.115 1
Ni3 0.563 0.808 0.407 1
Ni4 0.950 0.697 0.112 1
P1 0.195 0.439 0.187 1
P2 0.306 0.049 0.330 1
P3 0.710 0.956 0.193 1
P4 0.817 0.563 0.337 1
C1 0.244 0.478 0.679 1
C2 0.290 0.022 0.840 1
C3 0.720 0.971 0.680 1
C4 0.777 0.531 0.847 1
O1 0.055 0.320 0.224 1
O2 0.100 0.529 0.093 1
O3 0.102 0.337 0.626 1
O4 0.167 0.908 0.177 1
O5 0.211 0.944 0.702 1
O6 0.215 0.145 0.424 1
O7 0.242 0.963 0.931 1
O8 0.255 0.307 0.088 1
O9 0.286 0.515 0.575 1
O10 0.331 0.570 0.813 1
O11 0.351 0.578 0.331 1
O12 0.401 0.956 0.421 1
O13 0.427 0.169 0.904 1
O14 0.438 0.188 0.304 1
O15 0.574 0.822 0.221 1
O16 0.579 0.826 0.615 1
O17 0.611 0.046 0.101 1
O18 0.673 0.413 0.194 1
O19 0.686 0.449 0.712 1
O20 0.735 0.669 0.434 1
O21 0.736 0.488 0.947 1
O22 0.772 0.023 0.588 1
O23 0.798 0.051 0.818 1
O24 0.802 0.861 0.100 1
O25 0.852 0.095 0.345 1
O26 0.923 0.671 0.902 1
O27 0.933 0.492 0.439 1
O28 0.949 0.697 0.304 1
```

Top 6 peaks for 2θ from 10° to 80°, in order of rising 2θ:
16.73°, rel. 100, (-1 1 1)
21.91°, rel. 54, (0 2 -1)
25.75°, rel. 67, (1 1 1)
27.32°, rel. 87, (2 -2 0)
33.81°, rel. 61, (3 -1 0)
34.66°, rel. 48, (2 2 -2)